(1)
Diffraction record for SeF4. The X-ray diffraction stick pattern is simulated, not measured: it uses a GGA-PBE-relaxed structure and Cu Ka.
Peak positions follow from Bragg's law for the DFT cell and can differ from measured ones.

Structure:
```
20
Lattice="5.5102 0.0000 0.0000 0.0000 5.8822 0.0000 0.0000 0.0000 10.7812" Properties=species:S:1:pos:R:3 pbc="T T T"
Se 0.8336 0.6673 1.3084
Se 1.9215 5.2149 6.6990
Se 3.5887 2.2738 9.4728
Se 4.6766 3.6084 4.0822
F 0.0583 5.0799 2.1593
F 0.5491 5.3793 7.7567
F 0.9834 3.8429 5.8014
F 1.3073 0.4359 5.5062
F 1.4478 5.4462 0.1156
F 1.7717 2.0393 0.4108
F 2.2060 0.5029 2.3661
F 2.6968 0.8023 7.5499
F 2.8134 3.7433 8.6219
F 3.3042 3.4439 3.0245
F 3.7385 4.9804 4.9798
F 4.0624 2.5051 5.2749
F 4.2030 3.3770 10.6655
F 4.5268 0.9018 10.3704
F 4.9612 2.4382 8.4151
F 5.4519 2.1388 3.2313
```

Largest 10 diffraction maxima, low angle first, 10° ≤ 2θ ≤ 80°:
2θ (°), intensity
17.17, 54
18.08, 29
22.10, 78
22.37, 84
23.08, 100
23.61, 66
33.44, 21
43.00, 31
44.19, 21
48.31, 22

(2)
Diffraction record for SeF4. The X-ray diffraction stick pattern is simulated, not measured: it uses a GGA-PBE-relaxed structure and Cu Ka.
Peak positions follow from Bragg's law for the DFT cell and can differ from measured ones.

Structure:
```
10
Lattice="5.3415 0.0000 0.0000 0.0000 5.5679 0.0000 -0.7572 0.0000 5.8421" Properties=species:S:1:pos:R:3 pbc="T T T"
Se 0.9758 0.0000 2.1803
Se 3.6086 2.7839 3.6618
F -0.2458 1.4324 2.1008
F 0.0145 4.7735 0.9751
F 1.9561 0.8526 1.0282
F 2.1957 4.1371 2.0415
F 2.3887 1.3532 3.8005
F 2.6283 3.6365 4.8139
F 4.5699 1.9896 4.8670
F 4.8302 4.2163 3.7413
```

Largest 10 diffraction maxima, low angle first, 10° ≤ 2θ ≤ 80°:
2θ (°), intensity
15.17, 65
21.14, 42
22.05, 86
23.18, 100
24.09, 36
26.58, 31
40.54, 20
46.18, 16
47.38, 25
48.54, 16